No. 1
Diffraction record for Tb2B7Ir12. The PXRD pattern is computed, not measured: it uses a structure optimized by DFT (PBE) and Cu Kα X-rays.

Crystal structure
abc: 8.931 8.931 3.954
angles: 90.00 90.00 120.00
Sites, in units of the cell vectors:
Tb (0.000, 0.000, 0.000)
Tb (0.333, 0.667, 0.500)
B (0.066, 0.613, 0.000)
B (0.230, 0.011, 0.500)
B (0.387, 0.453, 0.000)
B (0.547, 0.934, 0.000)
B (0.667, 0.333, 0.500)
B (0.781, 0.770, 0.500)
B (0.989, 0.219, 0.500)
Ir (0.019, 0.757, 0.500)
Ir (0.117, 0.386, 0.000)
Ir (0.243, 0.262, 0.500)
Ir (0.269, 0.883, 0.000)
Ir (0.455, 0.256, 0.000)
Ir (0.493, 0.068, 0.500)
Ir (0.574, 0.507, 0.500)
Ir (0.614, 0.731, 0.000)
Ir (0.738, 0.981, 0.500)
Ir (0.744, 0.199, 0.000)
Ir (0.801, 0.545, 0.000)
Ir (0.932, 0.426, 0.500)

Peak list (10 most intense, 2θ from 10° to 80°, by intensity)
2θ (°), I_rel
38.3, 100
30.6, 26
45.9, 18
54.4, 16
73.8, 13
79.8, 12
56.2, 10
48.3, 10
68.4, 9
30.2, 9

No. 2
Diffraction record for Mg5In2H. The PXRD pattern is computed, not measured: it uses a structure optimized by DFT (PBE) and Cu Kα X-rays.

Crystal structure
abc: 6.294 6.294 6.294
angles: 120.87 120.87 88.50
Sites, in units of the cell vectors:
Mg (0.000, 0.000, 0.000)
Mg (0.001, 0.001, 0.499)
Mg (0.001, 0.502, 0.000)
Mg (0.502, 0.001, 0.000)
Mg (0.502, 0.502, 0.501)
In (0.001, 0.501, 0.500)
In (0.501, 0.001, 0.500)
H (0.235, 0.235, 0.000)

Peak list (10 most intense, 2θ from 10° to 80°, by intensity)
2θ (°), I_rel
35.1, 100
20.2, 65
28.4, 59
41.1, 32
71.0, 24
50.7, 23
58.7, 22
19.7, 19
40.0, 18
28.7, 16